Theoretical PXRD pattern of Na2PaAgF8 for a wavelength of 1.5418 Å, from a DFT-relaxed cell (PBE, Alexandria).
Neutral-atom scattering factors, no anomalous dispersion.

Cell and atoms:
```
data_Na2PaAgF8
_chemical_formula_sum 'Na2 Pa1 Ag1 F8'
_cell_length_a 6.5161
_cell_length_b 6.5161
_cell_length_c 6.5161
_cell_angle_alpha 109.31
_cell_angle_beta 109.31
_cell_angle_gamma 109.79
_space_group_name_H-M_alt 'P 1'
_space_group_IT_number 1
loop_
_space_group_symop_operation_xyz
'x,y,z'
loop_
_atom_site_label
_atom_site_fract_x
_atom_site_fract_y
_atom_site_fract_z
_atom_site_occupancy
Na1 0.0000 0.0000 0.0000 1
Na2 0.7500 0.2500 0.5000 1
Pa1 0.5000 0.5000 0.0000 1
Ag1 0.2500 0.7500 0.5000 1
F1 0.1502 0.4292 0.7209 1
F2 0.2475 0.0762 0.8287 1
F3 0.2475 0.4187 0.1713 1
F4 0.5708 0.2917 0.7209 1
F5 0.5708 0.8498 0.2791 1
F6 0.5813 0.7525 0.8287 1
F7 0.7083 0.4292 0.2791 1
F8 0.9238 0.7525 0.1713 1
```

Principal peaks in the range 10 to 90 degrees two-theta, sorted by position:
d 5.317, I = 100; d 3.769, I = 54; d 3.069, I = 66; d 2.665, I = 9; d 2.383, I = 19; d 2.371, I = 13; d 2.012, I = 52; d 1.885, I = 11; d 1.685, I = 9; d 1.678, I = 11; d 1.605, I = 18; d 1.375, I = 9

***

Theoretical PXRD pattern of K3PdO3 for a wavelength of 1.5418 Å, from a DFT-relaxed cell (PBE, Alexandria).
Neutral-atom scattering factors, no anomalous dispersion.

Cell and atoms:
```
data_K3PdO3
_chemical_formula_sum 'K6 Pd2 O6'
_cell_length_a 7.9636
_cell_length_b 7.9636
_cell_length_c 5.5539
_cell_angle_alpha 90.00
_cell_angle_beta 90.00
_cell_angle_gamma 120.00
_space_group_name_H-M_alt 'P 1'
_space_group_IT_number 1
loop_
_space_group_symop_operation_xyz
'x,y,z'
loop_
_atom_site_label
_atom_site_fract_x
_atom_site_fract_y
_atom_site_fract_z
_atom_site_occupancy
K1 0.1008 0.7346 0.2500 1
K2 0.2654 0.3662 0.2500 1
K3 0.3662 0.1008 0.7500 1
K4 0.6338 0.8992 0.2500 1
K5 0.7346 0.6338 0.7500 1
K6 0.8992 0.2654 0.7500 1
Pd1 0.3333 0.6667 0.7500 1
Pd2 0.6667 0.3333 0.2500 1
O1 0.1138 0.7082 0.7500 1
O2 0.2918 0.4055 0.7500 1
O3 0.4055 0.1138 0.2500 1
O4 0.5945 0.8862 0.7500 1
O5 0.7082 0.5945 0.2500 1
O6 0.8862 0.2918 0.2500 1
```

Principal peaks in the range 10 to 90 degrees two-theta, sorted by position:
d 6.897, I = 68; d 4.326, I = 82; d 3.448, I = 34; d 2.930, I = 100; d 2.777, I = 57; d 2.607, I = 31; d 2.360, I = 41; d 2.299, I = 26; d 2.163, I = 17; d 1.901, I = 21; d 1.771, I = 23; d 1.522, I = 19

***

Theoretical PXRD pattern of YICl for a wavelength of 1.5418 Å, from a DFT-relaxed cell (PBE, Alexandria).
Neutral-atom scattering factors, no anomalous dispersion.

Cell and atoms:
```
data_YICl
_chemical_formula_sum 'Y2 I2 Cl2'
_cell_length_a 6.8635
_cell_length_b 3.9693
_cell_length_c 8.3251
_cell_angle_alpha 90.00
_cell_angle_beta 98.43
_cell_angle_gamma 90.00
_space_group_name_H-M_alt 'P 1'
_space_group_IT_number 1
loop_
_space_group_symop_operation_xyz
'x,y,z'
loop_
_atom_site_label
_atom_site_fract_x
_atom_site_fract_y
_atom_site_fract_z
_atom_site_occupancy
Y1 0.2167 0.2500 0.0025 1
Y2 0.7833 0.7500 0.9975 1
I1 0.1408 0.7500 0.2749 1
I2 0.8592 0.2500 0.7251 1
Cl1 0.3896 0.7500 0.8351 1
Cl2 0.6104 0.2500 0.1649 1
```

Principal peaks in the range 10 to 90 degrees two-theta, sorted by position:
d 8.235, I = 100; d 6.789, I = 36; d 5.662, I = 23; d 4.898, I = 26; d 3.576, I = 27; d 3.250, I = 100; d 2.988, I = 55; d 2.735, I = 61; d 2.543, I = 53; d 2.306, I = 42; d 2.260, I = 23; d 1.968, I = 42